Entry 1:
Simulated powder XRD pattern
Compound: Dy5P12Ir19
Radiation: Cu Ka
Structure: a structure optimized by DFT (GGA-PBE)
Neutral-atom scattering factors, no anomalous dispersion.

Structure:
Unit cell a=12.7076 b=12.7076 c=3.9838 alpha=90.00 beta=90.00 gamma=120.00
Space group P-62m (No. 189)
One atom of each set of equivalent atoms:
Dy 0.0000 0.8165 0.0000 (multiplicity 3)
Dy 0.3333 0.6667 0.5000 (multiplicity 2)
P 0.0000 0.1783 0.5000 (multiplicity 3)
P 0.0000 0.6439 0.5000 (multiplicity 3)
P 0.1710 0.4833 0.0000 (multiplicity 6)
Ir 0.0000 0.0000 0.5000 (multiplicity 1)
Ir 0.0000 0.2862 0.0000 (multiplicity 3)
Ir 0.0000 0.4643 0.5000 (multiplicity 3)
Ir 0.1332 0.6400 0.0000 (multiplicity 6)
Ir 0.1805 0.3750 0.5000 (multiplicity 6)

Top 8 peaks for 10 to 80 degrees two-theta, low angle first:
| (hkl) | two_theta | Rel. int. |
| --- | --- | --- |
| 2 2 0 | 28.1 | 20 |
| 2 1 1 | 31.1 | 10 |
| 2 2 1 | 36.2 | 100 |
| 3 1 1 | 37.1 | 14 |
| 0 0 2 | 45.5 | 19 |
| 6 0 0 | 49.7 | 16 |
| 6 0 2 | 69.7 | 11 |
| 2 2 3 | 78.0 | 14 |

Entry 2:
Simulated powder XRD pattern
Compound: Ce2Zn7
Radiation: Cu Ka
Structure: a structure optimized by DFT (GGA-PBE)
Neutral-atom scattering factors, no anomalous dispersion.

Structure:
Unit cell a=5.4167 b=5.4167 c=39.1306 alpha=90.00 beta=90.00 gamma=120.00
Space group R-3m (No. 166, hexagonal axes)
One atom of each set of equivalent atoms:
Ce 0.0000 0.0000 0.0526 (multiplicity 6)
Ce 0.0000 0.0000 0.1535 (multiplicity 6)
Zn 0.0000 0.0000 0.2794 (multiplicity 6)
Zn 0.0000 0.0000 0.3887 (multiplicity 6)
Zn 0.0000 0.0000 0.5000 (multiplicity 3)
Zn 0.0000 0.5000 0.0000 (multiplicity 9)
Zn 0.0032 0.5016 0.8908 (multiplicity 18)

Top 8 peaks for 10 to 80 degrees two-theta, low angle first:
| (hkl) | two_theta | Rel. int. |
| --- | --- | --- |
| 1 0 10 | 29.7 | 25 |
| 0 1 11 | 31.6 | 16 |
| 1 1 0 | 33.1 | 35 |
| 0 2 1 | 38.4 | 28 |
| 1 1 9 | 39.2 | 100 |
| 0 0 18 | 41.5 | 21 |
| 3 0 9 | 63.2 | 24 |
| 2 2 0 | 69.4 | 19 |

Entry 3:
Simulated powder XRD pattern
Compound: Tl2HgPbO2
Radiation: Cu Ka
Structure: a structure optimized by DFT (GGA-PBE)
Neutral-atom scattering factors, no anomalous dispersion.

Structure:
Unit cell a=7.6980 b=5.9675 c=8.0575 alpha=90.00 beta=115.22 gamma=90.00
Space group P2_1/m (No. 11)
One atom of each set of equivalent atoms:
Tl 0.0701 0.2500 0.3843 (multiplicity 2)
Tl 0.1857 0.7500 0.1197 (multiplicity 2)
Hg 0.3311 0.2500 0.8631 (multiplicity 2)
Pb 0.4515 0.7500 0.6167 (multiplicity 2)
O 0.3046 0.5022 0.3678 (multiplicity 4)

Top 8 peaks for 10 to 80 degrees two-theta, low angle first:
| (hkl) | two_theta | Rel. int. |
| --- | --- | --- |
| 2 1 -1 | 27.6 | 100 |
| 0 1 2 | 28.7 | 93 |
| 0 2 0 | 29.9 | 39 |
| 2 0 1 | 32.9 | 30 |
| 2 0 -3 | 34.9 | 24 |
| 2 2 1 | 45.1 | 30 |
| 2 2 -3 | 46.6 | 25 |
| 0 2 4 | 59.4 | 22 |

Entry 4:
Simulated powder XRD pattern
Compound: SrTc2Ir
Radiation: Cu Ka
Structure: a structure optimized by DFT (GGA-PBE)
Neutral-atom scattering factors, no anomalous dispersion.

Structure:
Unit cell a=8.8878 b=2.9380 c=6.3284 alpha=90.00 beta=99.28 gamma=90.00
Space group Cm (No. 8)
One atom of each set of equivalent atoms:
Sr 0.0000 0.0000 0.0000 (multiplicity 2)
Tc 0.2214 0.0000 0.6249 (multiplicity 2)
Tc 0.4915 0.0000 0.5097 (multiplicity 2)
Ir 0.2632 0.5000 0.3060 (multiplicity 2)

Top 8 peaks for 10 to 80 degrees two-theta, low angle first:
| (hkl) | two_theta | Rel. int. |
| --- | --- | --- |
| 0 0 1 | 14.2 | 88 |
| 2 0 1 | 26.7 | 27 |
| 2 0 -2 | 32.4 | 56 |
| 1 1 1 | 36.0 | 100 |
| 4 0 0 | 41.2 | 38 |
| 1 1 -2 | 42.4 | 23 |
| 3 1 -1 | 44.5 | 70 |
| 1 1 2 | 44.7 | 25 |

Entry 5:
Simulated powder XRD pattern
Compound: CaNpO5
Radiation: Cu Ka
Structure: a structure optimized by DFT (GGA-PBE)
Neutral-atom scattering factors, no anomalous dispersion.

Structure:
Unit cell a=9.4175 b=6.5548 c=8.2807 alpha=90.00 beta=116.39 gamma=90.00
Space group C2/c (No. 15)
One atom of each set of equivalent atoms:
Ca 0.0000 0.0425 0.2500 (multiplicity 4)
Np 0.0000 0.5000 0.0000 (multiplicity 4)
O 0.0000 0.4075 0.2500 (multiplicity 4)
O 0.0067 0.2072 0.9654 (multiplicity 8)
O 0.2235 0.4883 0.6141 (multiplicity 8)

Top 8 peaks for 10 to 80 degrees two-theta, low angle first:
| (hkl) | two_theta | Rel. int. |
| --- | --- | --- |
| 1 1 0 | 17.1 | 100 |
| 2 0 0 | 21.1 | 69 |
| 2 0 -2 | 23.9 | 25 |
| 0 0 2 | 24.0 | 25 |
| 1 1 -2 | 25.4 | 82 |
| 0 2 0 | 27.2 | 33 |
| 3 1 -2 | 33.2 | 25 |
| 2 2 0 | 34.7 | 36 |

Entry 6:
Simulated powder XRD pattern
Compound: Li6Cd12In
Radiation: Cu Ka
Structure: a structure optimized by DFT (GGA-PBE)
Neutral-atom scattering factors, no anomalous dispersion.

Structure:
Unit cell a=10.3527 b=10.3527 c=12.4930 alpha=90.00 beta=90.00 gamma=120.00
Space group R-3 (No. 148, hexagonal axes)
One atom of each set of equivalent atoms:
Li 0.0259 0.5904 0.2026 (multiplicity 18)
Cd 0.0319 0.8402 0.3111 (multiplicity 18)
Cd 0.0590 0.2170 0.9137 (multiplicity 18)
In 0.0000 0.0000 0.5000 (multiplicity 3)

Top 8 peaks for 10 to 80 degrees two-theta, low angle first:
| (hkl) | two_theta | Rel. int. |
| --- | --- | --- |
| 2 0 2 | 24.4 | 39 |
| 3 -1 1 | 27.3 | 100 |
| 4 -3 1 | 36.9 | 67 |
| 0 3 3 | 37.0 | 61 |
| 0 1 5 | 37.4 | 61 |
| 4 -1 2 | 39.0 | 48 |
| 2 1 4 | 39.2 | 77 |
| 1 4 0 | 46.4 | 22 |

Entry 7:
Simulated powder XRD pattern
Compound: CeY4Tm2
Radiation: Cu Ka
Structure: a structure optimized by DFT (GGA-PBE)
Neutral-atom scattering factors, no anomalous dispersion.

Structure:
Unit cell a=11.8210 b=23.6076 c=6.3890 alpha=90.00 beta=90.00 gamma=90.00
Space group Fdd2 (No. 43)
One atom of each set of equivalent atoms:
Ce 0.0000 0.0000 0.0000 (multiplicity 8)
Y 0.0533 0.0696 0.5082 (multiplicity 16)
Y 0.0688 0.1435 0.0387 (multiplicity 16)
Tm 0.0266 0.2152 0.5652 (multiplicity 16)

Top 8 peaks for 10 to 80 degrees two-theta, low angle first:
| (hkl) | two_theta | Rel. int. |
| --- | --- | --- |
| 0 2 2 | 28.9 | 27 |
| 1 7 1 | 30.9 | 100 |
| 4 2 0 | 31.2 | 25 |
| 2 0 2 | 31.8 | 67 |
| 3 5 1 | 32.8 | 48 |
| 3 7 1 | 37.8 | 37 |
| 1 7 3 | 51.3 | 19 |
| 0 0 4 | 57.7 | 17 |

Entry 8:
Simulated powder XRD pattern
Compound: Ca4NF6
Radiation: Cu Ka
Structure: a structure optimized by DFT (GGA-PBE)
Neutral-atom scattering factors, no anomalous dispersion.

Structure:
Unit cell a=7.8568 b=7.8568 c=5.4993 alpha=90.00 beta=90.00 gamma=90.00
Space group P4_2/nmc (No. 137, origin choice 2)
One atom of each set of equivalent atoms:
Ca 0.0104 0.2500 0.0452 (multiplicity 8)
N 0.2500 0.7500 0.7500 (multiplicity 2)
F 0.0389 0.5389 0.2500 (multiplicity 8)
F 0.2500 0.2500 0.2942 (multiplicity 4)

Top 8 peaks for 10 to 80 degrees two-theta, low angle first:
| (hkl) | two_theta | Rel. int. |
| --- | --- | --- |
| 1 1 0 | 16.0 | 8 |
| 2 0 1 | 27.9 | 100 |
| 3 0 1 | 38.1 | 14 |
| 2 1 2 | 41.7 | 9 |
| 4 0 0 | 46.2 | 29 |
| 2 2 2 | 46.5 | 51 |
| 4 2 1 | 54.9 | 25 |
| 2 1 3 | 56.6 | 8 |

Entry 9:
Simulated powder XRD pattern
Compound: NdBRh4
Radiation: Cu Ka
Structure: a structure optimized by DFT (GGA-PBE)
Neutral-atom scattering factors, no anomalous dispersion.

Structure:
Unit cell a=5.0734 b=5.0734 c=8.3902 alpha=90.00 beta=90.00 gamma=90.00
Space group P4_2/nmc (No. 137, origin choice 2)
One atom of each set of equivalent atoms:
Nd 0.2500 0.7500 0.2500 (multiplicity 2)
B 0.2500 0.7500 0.7500 (multiplicity 2)
Rh 0.0045 0.2500 0.0595 (multiplicity 8)

Top 8 peaks for 10 to 80 degrees two-theta, low angle first:
| (hkl) | two_theta | Rel. int. |
| --- | --- | --- |
| 1 1 0 | 24.8 | 18 |
| 1 0 2 | 27.6 | 31 |
| 1 1 2 | 32.8 | 23 |
| 1 0 3 | 36.7 | 69 |
| 2 0 1 | 37.0 | 100 |
| 2 1 1 | 41.2 | 45 |
| 2 2 2 | 55.7 | 41 |
| 2 1 5 | 69.7 | 26 |

Entry 10:
Simulated powder XRD pattern
Compound: K2IO2
Radiation: Cu Ka
Structure: a structure optimized by DFT (GGA-PBE)
Neutral-atom scattering factors, no anomalous dispersion.

Structure:
Unit cell a=7.5872 b=5.4108 c=11.7787 alpha=90.00 beta=90.00 gamma=90.00
Space group Pnma (No. 62)
One atom of each set of equivalent atoms:
K 0.0680 0.2500 0.2404 (multiplicity 4)
K 0.1469 0.2500 0.5959 (multiplicity 4)
I 0.1591 0.2500 0.9347 (multiplicity 4)
O 0.0152 0.7500 0.1995 (multiplicity 4)
O 0.1686 0.7500 0.5769 (multiplicity 4)

Top 8 peaks for 10 to 80 degrees two-theta, low angle first:
| (hkl) | two_theta | Rel. int. |
| --- | --- | --- |
| 1 0 1 | 13.9 | 30 |
| 1 1 1 | 21.5 | 92 |
| 0 1 3 | 28.1 | 100 |
| 2 1 0 | 28.7 | 89 |
| 1 0 4 | 32.6 | 27 |
| 2 0 3 | 32.8 | 83 |
| 0 2 0 | 33.1 | 64 |
| 2 2 3 | 47.3 | 56 |

Entry 11:
Simulated powder XRD pattern
Compound: Mg14CrW
Radiation: Cu Ka
Structure: a structure optimized by DFT (GGA-PBE)
Neutral-atom scattering factors, no anomalous dispersion.

Structure:
Unit cell a=6.2368 b=6.2368 c=10.0061 alpha=90.00 beta=90.00 gamma=120.00
Space group P-6m2 (No. 187)
One atom of each set of equivalent atoms:
Mg 0.0000 0.0000 0.2484 (multiplicity 2)
Mg 0.0153 0.5076 0.2561 (multiplicity 6)
Mg 0.3338 0.1669 0.5000 (multiplicity 3)
Mg 0.3367 0.1684 0.0000 (multiplicity 3)
Cr 0.3333 0.6667 0.0000 (multiplicity 1)
W 0.3333 0.6667 0.5000 (multiplicity 1)

Top 8 peaks for 10 to 80 degrees two-theta, low angle first:
| (hkl) | two_theta | Rel. int. |
| --- | --- | --- |
| 1 0 0 | 16.4 | 53 |
| 1 0 1 | 18.7 | 34 |
| 1 0 2 | 24.2 | 36 |
| 2 0 0 | 33.2 | 30 |
| 0 0 4 | 35.9 | 25 |
| 2 0 2 | 37.9 | 100 |
| 2 0 4 | 49.7 | 19 |
| 2 2 4 | 71.3 | 18 |

Entry 12:
Simulated powder XRD pattern
Compound: Pm4P3F
Radiation: Cu Ka
Structure: a structure optimized by DFT (GGA-PBE)
Neutral-atom scattering factors, no anomalous dispersion.

Structure:
Unit cell a=4.0692 b=11.4031 c=8.1092 alpha=90.00 beta=90.00 gamma=90.00
Space group Amm2 (No. 38)
One atom of each set of equivalent atoms:
Pm 0.0000 0.0000 0.0000 (multiplicity 2)
Pm 0.0000 0.0000 0.4808 (multiplicity 2)
Pm 0.5000 0.2491 0.2406 (multiplicity 4)
P 0.0000 0.2500 0.4906 (multiplicity 4)
P 0.5000 0.0000 0.2405 (multiplicity 2)
F 0.5000 0.0000 0.7413 (multiplicity 2)

Top 8 peaks for 10 to 80 degrees two-theta, low angle first:
| (hkl) | two_theta | Rel. int. |
| --- | --- | --- |
| 1 2 0 | 27.0 | 100 |
| 1 0 2 | 31.1 | 76 |
| 0 4 0 | 31.4 | 38 |
| 1 4 2 | 44.8 | 69 |
| 2 2 2 | 52.8 | 16 |
| 1 2 4 | 53.0 | 16 |
| 1 6 0 | 53.2 | 16 |
| 2 4 4 | 73.9 | 18 |